SbP4O12: theoretical X-ray powder pattern (Cu Kα, 1.54184 Å), based on the PBE geometry in the Materials Project.

Most intense lines, 2θ from 5° to 70°, in order of rising 2θ:
2θ (°)	I/Imax
15.7	100
16.2	81
16.9	71
17.3	83
27.0	80
27.3	42
28.5	46
29.3	45
29.9	52
55.8	32

```
SbP4O12
1.0
7.154 0.000 0.000
0.000 8.471 0.000
-0.197 0.000 7.538
Sb P O
2 8 24
direct
0.250 0.000 0.248 Sb
0.750 0.500 0.752 Sb
0.004 0.172 0.610 P
0.086 0.440 0.093 P
0.396 0.260 0.585 P
0.438 0.644 0.083 P
0.562 0.144 0.917 P
0.604 0.760 0.415 P
0.914 0.940 0.907 P
0.996 0.672 0.390 P
0.001 0.959 0.093 O
0.011 0.074 0.791 O
0.027 0.065 0.453 O
0.084 0.283 0.179 O
0.168 0.776 0.394 O
0.184 0.281 0.644 O
0.302 0.496 0.075 O
0.337 0.800 0.063 O
0.400 0.202 0.397 O
0.405 0.119 0.044 O
0.475 0.125 0.717 O
0.487 0.417 0.623 O
0.513 0.917 0.377 O
0.525 0.625 0.283 O
0.595 0.619 0.956 O
0.600 0.702 0.603 O
0.663 0.300 0.937 O
0.698 0.996 0.925 O
0.816 0.781 0.356 O
0.832 0.276 0.606 O
0.916 0.783 0.821 O
0.973 0.565 0.547 O
0.989 0.574 0.209 O
0.999 0.459 0.907 O
```